(1)
For DyS2, DFT lattice parameters and positions (GGA-PBE) gives the theoretical powder X-ray diffraction pattern in this record (Cu Kα, 1.54184 Å).
Lines closer than 0.1° are merged.

Structure:
Unit cell a=3.8569 b=3.8569 c=7.9813 alpha=90.00 beta=90.00 gamma=90.00
Space group P4/nmm (No. 129, origin choice 2)
Symmetry-distinct sites (fractional):
Dy: 0.2500 0.2500 0.2258 x2
S: 0.2500 0.2500 0.8685 x2
S: 0.2500 0.7500 0.5000 x2

Peak list (6 most intense, 5 to 70 degrees two-theta, low angle first)
2θ/deg	I (rel.)	hkl
22.28	29	0 0 2
25.65	100	1 0 1
32.84	39	1 1 0
40.04	62	1 1 2
41.22	43	1 0 3
47.13	27	2 0 0


(2)
For Te4Mo3WSe2S2, DFT lattice parameters and positions (GGA-PBE) gives the theoretical powder X-ray diffraction pattern in this record (Cu Kα, 1.54184 Å).
Lines closer than 0.1° are merged.

Structure:
Unit cell a=3.4020 b=3.4020 c=38.7151 alpha=90.00 beta=90.00 gamma=120.00
Space group P3m1 (No. 156)
Symmetry-distinct sites (fractional):
Te: 0.0000 0.0000 0.0000 x1
Te: 0.0000 0.0000 0.0967 x1
Te: 0.0000 0.0000 0.3754 x1
Te: 0.0000 0.0000 0.4728 x1
Mo: 0.0000 0.0000 0.2362 x1
Mo: 0.0000 0.0000 0.8605 x1
Mo: 0.3333 0.6667 0.0484 x1
W: 0.3333 0.6667 0.4241 x1
Se: 0.3333 0.6667 0.1937 x1
Se: 0.3333 0.6667 0.2788 x1
S: 0.3333 0.6667 0.8216 x1
S: 0.3333 0.6667 0.8994 x1

Peak list (6 most intense, 5 to 70 degrees two-theta, low angle first)
2θ/deg	I (rel.)	hkl
6.85	69	0 0 3
11.43	94	0 0 5
30.36	54	1 0 0
35.68	100	1 0 8
43.19	56	0 1 13
53.91	38	1 1 0


(3)
For LiCuPO4, DFT lattice parameters and positions (GGA-PBE) gives the theoretical powder X-ray diffraction pattern in this record (Cu Kα, 1.54184 Å).
Lines closer than 0.1° are merged.

Structure:
Unit cell a=10.9719 b=6.0913 c=4.9542 alpha=90.00 beta=90.00 gamma=90.00
Space group Pna2_1 (No. 33)
Symmetry-distinct sites (fractional):
Li: 0.0701 0.2254 0.0000 x4
Cu: 0.1726 0.4736 0.4937 x4
P: 0.0859 0.7309 0.0053 x4
O: 0.0478 0.2484 0.4022 x4
O: 0.0876 0.7178 0.3180 x4
O: 0.1474 0.5194 0.8928 x4
O: 0.1535 0.9430 0.9165 x4

Peak list (6 most intense, 5 to 70 degrees two-theta, low angle first)
2θ/deg	I (rel.)	hkl
16.65	52	1 1 0
23.14	45	0 1 1
24.54	100	1 1 1
28.47	45	3 1 0
33.66	43	2 2 0
36.27	40	0 0 2